1.
Theoretical powder diffraction line list
Compound: NdHo7Al5
Radiation: Cu Ka
Structure: DFT lattice parameters and positions (PBE)
Lines closer than 0.1° are merged.

Crystal structure
Cell lengths 6.103, 10.205, 10.745 Å; angles 90.00, 90.00, 90.00 degrees
Space group Imm2 (No. 44)
Symmetry-distinct sites (fractional):
Nd: 0.000 0.000 0.000
Ho: 0.000 0.000 0.348
Ho: 0.000 0.000 0.671
Ho: 0.000 0.305 0.504
Ho: 0.000 0.338 0.018
Ho: 0.000 0.500 0.741
Al: 0.000 0.500 0.272
Al: 0.250 0.241 0.765

Peak list (10 most intense, 2θ from 5° to 70°, low angle first)
2θ (°), Rel. int., hkl
24.1, 45, 0 2 2
28.9, 40, 1 0 3
29.3, 90, 2 0 0
30.1, 91, 1 3 0
33.4, 33, 0 0 4
33.9, 68, 1 2 3
34.5, 100, 1 3 2
37.6, 32, 1 1 4
38.2, 58, 2 2 2
60.4, 59, 1 3 6



2.
Theoretical powder diffraction line list
Compound: TbGa2Cu4
Radiation: Cu Ka
Structure: DFT lattice parameters and positions (PBE)
Lines closer than 0.1° are merged.

Crystal structure
Cell lengths 7.325, 7.325, 4.049 Å; angles 90.00, 90.00, 90.00 degrees
Space group P4_2/mnm (No. 136)
Symmetry-distinct sites (fractional):
Tb: 0.000 0.000 0.000
Ga: 0.212 0.212 0.500
Cu: 0.096 0.646 0.500

Peak list (10 most intense, 2θ from 5° to 70°, low angle first)
2θ (°), Rel. int., hkl
25.1, 17, 1 0 1
34.6, 26, 2 2 0
35.2, 100, 2 1 1
38.9, 42, 3 1 0
41.4, 41, 2 2 1
44.8, 35, 0 0 2
45.1, 48, 3 1 1
51.4, 14, 4 1 0
60.8, 22, 3 1 2
68.1, 20, 4 3 1



3.
Theoretical powder diffraction line list
Compound: Na2SnAu5
Radiation: Cu Ka
Structure: DFT lattice parameters and positions (PBE)
Lines closer than 0.1° are merged.

Crystal structure
Cell lengths 6.346, 6.346, 7.772 Å; angles 90.00, 90.00, 90.00 degrees
Space group I4mm (No. 107)
Symmetry-distinct sites (fractional):
Na: 0.000 0.500 0.000
Sn: 0.000 0.000 0.499
Au: 0.000 0.000 0.001
Au: 0.250 0.250 0.250

Peak list (10 most intense, 2θ from 5° to 70°, low angle first)
2θ (°), Rel. int., hkl
19.8, 12, 1 1 0
22.9, 11, 0 0 2
28.1, 13, 2 0 0
30.4, 9, 1 1 2
36.6, 100, 2 0 2
40.2, 39, 2 2 0
46.7, 19, 0 0 4
51.2, 6, 3 1 2
58.1, 13, 4 0 0
63.3, 23, 2 2 4



4.
Theoretical powder diffraction line list
Compound: La2H5
Radiation: Cu Ka
Structure: DFT lattice parameters and positions (PBE)
Lines closer than 0.1° are merged.

Crystal structure
Cell lengths 5.882, 11.656, 5.049 Å; angles 90.00, 90.00, 90.00 degrees
Space group Ibam (No. 72)
Symmetry-distinct sites (fractional):
La: 0.240 0.121 0.000
H: 0.000 0.256 0.250
H: 0.000 0.500 0.250
H: 0.165 0.084 0.500

Peak list (10 most intense, 2θ from 5° to 70°, low angle first)
2θ (°), Rel. int., hkl
27.9, 100, 1 2 1
30.4, 20, 2 0 0
30.7, 19, 0 4 0
35.6, 13, 0 0 2
43.7, 15, 2 4 0
47.5, 12, 2 0 2
52.5, 17, 3 2 1
52.8, 17, 1 6 1
57.6, 13, 2 4 2
59.3, 12, 1 2 3



5.
Theoretical powder diffraction line list
Compound: BeZn5Cu4
Radiation: Cu Ka
Structure: DFT lattice parameters and positions (PBE)
Lines closer than 0.1° are merged.

Crystal structure
Cell lengths 13.144, 3.765, 6.173 Å; angles 90.00, 117.15, 90.00 degrees
Space group C2/m (No. 12)
Symmetry-distinct sites (fractional):
Be: 0.000 0.000 0.000
Zn: 0.000 0.000 0.500
Zn: 0.164 0.500 0.628
Zn: 0.178 0.500 0.232
Cu: 0.018 0.500 0.801
Cu: 0.171 0.000 0.933

Peak list (10 most intense, 2θ from 5° to 70°, low angle first)
2θ (°), Rel. int., hkl
16.3, 21, 2 0 -1
24.8, 22, 1 1 0
31.9, 37, 3 1 -1
41.6, 51, 3 1 1
44.3, 75, 1 1 2
44.6, 33, 2 0 -3
44.8, 100, 5 1 -2
46.6, 41, 6 0 0
48.4, 42, 0 2 0
69.4, 23, 6 2 0



6.
Theoretical powder diffraction line list
Compound: LaTi2V2
Radiation: Cu Ka
Structure: DFT lattice parameters and positions (PBE)
Lines closer than 0.1° are merged.

Crystal structure
Cell lengths 7.912, 7.912, 3.061 Å; angles 90.00, 90.00, 90.00 degrees
Space group P4/mbm (No. 127)
Symmetry-distinct sites (fractional):
La: 0.000 0.000 0.000
Ti: 0.134 0.366 0.500
V: 0.139 0.639 0.000

Peak list (10 most intense, 2θ from 5° to 70°, low angle first)
2θ (°), Rel. int., hkl
22.5, 33, 2 0 0
32.0, 23, 2 2 0
33.4, 38, 1 1 1
35.9, 100, 3 1 0
37.1, 26, 2 0 1
38.9, 56, 2 1 1
43.8, 18, 2 2 1
46.9, 31, 3 1 1
51.7, 15, 4 2 0
60.5, 24, 0 0 2



7.
Theoretical powder diffraction line list
Compound: HfSiPd
Radiation: Cu Ka
Structure: DFT lattice parameters and positions (PBE)
Lines closer than 0.1° are merged.

Crystal structure
Cell lengths 6.606, 3.885, 7.611 Å; angles 90.00, 90.00, 90.00 degrees
Space group Pnma (No. 62)
Symmetry-distinct sites (fractional):
Hf: 0.028 0.250 0.179
Si: 0.242 0.750 0.376
Pd: 0.143 0.250 0.562

Peak list (10 most intense, 2θ from 5° to 70°, low angle first)
2θ (°), Rel. int., hkl
25.7, 23, 0 1 1
27.0, 20, 2 0 0
35.7, 100, 1 1 2
37.6, 58, 2 1 1
38.0, 34, 1 0 3
42.6, 17, 0 1 3
42.7, 16, 3 0 1
46.8, 24, 0 2 0
61.8, 16, 1 2 3
69.6, 18, 3 1 4



8.
Theoretical powder diffraction line list
Compound: Sm3Er6Tm2
Radiation: Cu Ka
Structure: DFT lattice parameters and positions (PBE)
Lines closer than 0.1° are merged.

Crystal structure
Cell lengths 4.710, 4.710, 32.992 Å; angles 90.00, 90.00, 90.00 degrees
Space group I4/mmm (No. 139)
Symmetry-distinct sites (fractional):
Sm: 0.000 0.000 0.000
Sm: 0.000 0.000 0.202
Er: 0.000 0.000 0.306
Er: 0.000 0.500 0.121
Tm: 0.000 0.000 0.454

Peak list (10 most intense, 2θ from 5° to 70°, low angle first)
2θ (°), Rel. int., hkl
28.9, 100, 1 1 4
30.9, 23, 1 0 9
32.6, 22, 0 0 12
34.6, 82, 1 1 8
38.2, 63, 2 0 0
51.1, 25, 2 0 12
55.2, 22, 2 2 0
62.9, 22, 1 1 20
63.5, 22, 3 1 4
66.8, 25, 3 1 8